The following is a calculated XRD peak list of FeAgW2. It was derived from a crystal structure in Alexandria, relaxed with PBE, using CuKα.

The 6 most intense peaks (2θ from 10° to 90°), in order of rising 2θ:
(1 1 1), 2θ 36.29, I = 9; (1 1 2), 2θ 40.40, I = 100; (0 2 0), 2θ 41.19, I = 19; (0 2 4), 2θ 59.03, I = 12; (1 1 6), 2θ 73.41, I = 12; (1 3 2), 2θ 74.55, I = 13

Structural model:
a b c (Å): 3.184 4.383 8.940
angles (deg): 90.00 90.00 90.00
Element x y z (fractional)
Fe 0.000 0.000 0.000
Fe 0.500 0.500 0.000
Ag 0.000 0.500 0.249
Ag 0.500 0.000 0.249
W 0.000 0.000 0.521
W 0.000 0.500 0.773
W 0.500 0.000 0.773
W 0.500 0.500 0.521